The following is a simulated XRD peak list of Pr2BeSiN. It was derived from a structure optimized by DFT (GGA-PBE), using Cu Kα (λ = 1.5418 Å).
Lines closer than 0.1° are merged.

Most intense lines, 2θ from 10° to 90°, most intense first:
| 2θ/deg | I (rel.) |
| --- | --- |
| 32.6 | 100 |
| 27.3 | 81 |
| 29.4 | 43 |
| 31.1 | 29 |
| 30.8 | 28 |
| 37.7 | 21 |
| 49.7 | 19 |
| 46.9 | 18 |
| 49.4 | 18 |
| 66.2 | 17 |

```
data_Pr2BeSiN
_space_group_name_H-M_alt 'P 1 21/m 1'
_space_group_IT_number 11
_space_group_name_Hall '-P 2yb'
_cell_length_a 6.396
_cell_length_b 3.872
_cell_length_c 8.249
_cell_angle_alpha 90.00
_cell_angle_beta 108.32
_cell_angle_gamma 90.00
loop_
_atom_site_label
_atom_site_type_symbol
_atom_site_fract_x
_atom_site_fract_y
_atom_site_fract_z
_atom_site_occupancy
Pr1 Pr 0.207 0.250 0.393 1
Pr2 Pr 0.215 0.250 0.961 1
Be1 Be 0.449 0.750 0.243 1
Si1 Si 0.340 0.750 0.706 1
N1 N 0.183 0.750 0.170 1
```

The following is a simulated XRD peak list of Ca3YAu4. It was derived from a structure optimized by DFT (GGA-PBE), using Cu Kα (λ = 1.5418 Å).
Lines closer than 0.1° are merged.

Most intense lines, 2θ from 10° to 90°, most intense first:
| 2θ/deg | I (rel.) |
| --- | --- |
| 35.1 | 100 |
| 24.6 | 38 |
| 62.9 | 36 |
| 50.4 | 18 |
| 56.9 | 17 |
| 84.7 | 16 |
| 43.3 | 12 |
| 74.1 | 11 |
| 79.4 | 9 |
| 89.9 | 6 |

```
data_Ca3YAu4
_space_group_name_H-M_alt 'I m -3 m'
_space_group_IT_number 229
_space_group_name_Hall '-I 4 2 3'
_cell_length_a 7.239
_cell_length_b 7.239
_cell_length_c 7.239
_cell_angle_alpha 90.00
_cell_angle_beta 90.00
_cell_angle_gamma 90.00
loop_
_atom_site_label
_atom_site_type_symbol
_atom_site_fract_x
_atom_site_fract_y
_atom_site_fract_z
_atom_site_occupancy
Ca1 Ca 0.000 0.000 0.500 1
Y1 Y 0.000 0.000 0.000 1
Au1 Au 0.250 0.250 0.250 1
```

The following is a simulated XRD peak list of K3Bi2Sb2. It was derived from a structure optimized by DFT (GGA-PBE), using Cu Kα (λ = 1.5418 Å).
Lines closer than 0.1° are merged.

Most intense lines, 2θ from 10° to 90°, most intense first:
| 2θ/deg | I (rel.) |
| --- | --- |
| 30.7 | 100 |
| 15.2 | 87 |
| 30.3 | 59 |
| 26.2 | 48 |
| 39.8 | 18 |
| 54.0 | 18 |
| 51.1 | 16 |
| 18.7 | 14 |
| 41.0 | 14 |
| 41.1 | 14 |

```
data_K3Bi2Sb2
_space_group_name_H-M_alt 'C 1 2/m 1'
_space_group_IT_number 12
_space_group_name_Hall '-C 2y'
_cell_length_a 12.834
_cell_length_b 4.528
_cell_length_c 10.266
_cell_angle_alpha 90.00
_cell_angle_beta 114.83
_cell_angle_gamma 90.00
loop_
_atom_site_label
_atom_site_type_symbol
_atom_site_fract_x
_atom_site_fract_y
_atom_site_fract_z
_atom_site_occupancy
K1 K 0.000 0.000 0.000 1
K2 K 0.021 0.500 0.700 1
Bi1 Bi 0.235 0.000 0.393 1
Sb1 Sb 0.244 0.500 0.090 1
```

The following is a simulated XRD peak list of AcH6Rh. It was derived from a structure optimized by DFT (GGA-PBE), using Cu Kα (λ = 1.5418 Å).
Lines closer than 0.1° are merged.

Most intense lines, 2θ from 10° to 90°, most intense first:
| 2θ/deg | I (rel.) |
| --- | --- |
| 26.8 | 100 |
| 31.8 | 43 |
| 50.7 | 26 |
| 31.7 | 22 |
| 42.0 | 21 |
| 20.7 | 21 |
| 47.4 | 14 |
| 50.4 | 14 |
| 42.2 | 10 |
| 55.2 | 9 |

```
data_AcH6Rh
_space_group_name_H-M_alt 'C 1 2/m 1'
_space_group_IT_number 12
_space_group_name_Hall '-C 2y'
_cell_length_a 5.793
_cell_length_b 6.638
_cell_length_c 4.392
_cell_angle_alpha 90.00
_cell_angle_beta 102.70
_cell_angle_gamma 90.00
loop_
_atom_site_label
_atom_site_type_symbol
_atom_site_fract_x
_atom_site_fract_y
_atom_site_fract_z
_atom_site_occupancy
Ac1 Ac 0.000 0.000 0.000 1
H1 H 0.100 0.327 0.771 1
H2 H 0.231 0.000 0.577 1
Rh1 Rh 0.000 0.500 0.500 1
```

The following is a simulated XRD peak list of ErTm5Sc4. It was derived from a structure optimized by DFT (GGA-PBE), using Cu Kα (λ = 1.5418 Å).
Lines closer than 0.1° are merged.

Most intense lines, 2θ from 10° to 90°, most intense first:
| 2θ/deg | I (rel.) |
| --- | --- |
| 34.5 | 100 |
| 24.0 | 53 |
| 18.4 | 46 |
| 33.5 | 44 |
| 31.8 | 31 |
| 35.7 | 31 |
| 41.6 | 29 |
| 44.1 | 21 |
| 60.6 | 19 |
| 63.9 | 17 |

```
data_ErTm5Sc4
_space_group_name_H-M_alt 'P m m n'
_space_group_IT_number 59
_cell_length_a 9.939
_cell_length_b 11.126
_cell_length_c 5.349
_cell_angle_alpha 90.00
_cell_angle_beta 90.00
_cell_angle_gamma 90.00
loop_
_space_group_symop_operation_xyz
'x,y,z'
'-x,-y,-z'
'-x+1/2,-y+1/2,z'
'x+1/2,y+1/2,-z'
'x+1/2,-y,-z'
'-x+1/2,y,z'
'-x,y+1/2,-z'
'x,-y+1/2,z'
loop_
_atom_site_label
_atom_site_type_symbol
_atom_site_fract_x
_atom_site_fract_y
_atom_site_fract_z
_atom_site_occupancy
Er1 Er 0.250 0.250 0.250 1
Tm1 Tm 0.053 0.050 0.250 1
Tm2 Tm 0.250 0.750 0.748 1
Sc1 Sc 0.004 0.250 0.751 1
Sc2 Sc 0.250 0.060 0.750 1
```

The following is a simulated XRD peak list of SrLa3Sb3. It was derived from a structure optimized by DFT (GGA-PBE), using Cu Kα (λ = 1.5418 Å).
Lines closer than 0.1° are merged.

Most intense lines, 2θ from 10° to 90°, most intense first:
| 2θ/deg | I (rel.) |
| --- | --- |
| 28.9 | 100 |
| 34.3 | 66 |
| 58.2 | 26 |
| 47.4 | 22 |
| 70.8 | 16 |
| 45.4 | 15 |
| 61.5 | 14 |
| 41.3 | 13 |
| 59.8 | 12 |
| 85.4 | 10 |

```
data_SrLa3Sb3
_space_group_name_H-M_alt 'P 21 3'
_space_group_IT_number 198
_space_group_name_Hall 'P 2ac 2ab 3'
_cell_length_a 9.778
_cell_length_b 9.778
_cell_length_c 9.778
_cell_angle_alpha 90.00
_cell_angle_beta 90.00
_cell_angle_gamma 90.00
loop_
_atom_site_label
_atom_site_type_symbol
_atom_site_fract_x
_atom_site_fract_y
_atom_site_fract_z
_atom_site_occupancy
Sr1 Sr 0.070 0.430 0.570 1
La1 La 0.072 0.572 0.928 1
La2 La 0.179 0.179 0.179 1
La3 La 0.180 0.820 0.320 1
Sb1 Sb 0.000 0.254 0.878 1
```

The following is a simulated XRD peak list of BaTl12Sn4. It was derived from a structure optimized by DFT (GGA-PBE), using Cu Kα (λ = 1.5418 Å).
Lines closer than 0.1° are merged.

Most intense lines, 2θ from 10° to 90°, most intense first:
| 2θ/deg | I (rel.) |
| --- | --- |
| 26.6 | 100 |
| 43.6 | 45 |
| 31.6 | 32 |
| 38.0 | 24 |
| 41.8 | 19 |
| 77.5 | 18 |
| 59.2 | 15 |
| 67.3 | 13 |
| 60.6 | 10 |
| 51.8 | 9 |

```
data_BaTl12Sn4
_space_group_name_H-M_alt 'I m -3'
_space_group_IT_number 204
_space_group_name_Hall '-I 2 2 3'
_cell_length_a 10.590
_cell_length_b 10.590
_cell_length_c 10.590
_cell_angle_alpha 90.00
_cell_angle_beta 90.00
_cell_angle_gamma 90.00
loop_
_atom_site_label
_atom_site_type_symbol
_atom_site_fract_x
_atom_site_fract_y
_atom_site_fract_z
_atom_site_occupancy
Ba1 Ba 0.000 0.000 0.000 1
Tl1 Tl 0.000 0.149 0.352 1
Sn1 Sn 0.250 0.250 0.250 1
```

The following is a simulated XRD peak list of ZrGa3Rh. It was derived from a structure optimized by DFT (GGA-PBE), using Cu Kα (λ = 1.5418 Å).
Lines closer than 0.1° are merged.

Most intense lines, 2θ from 10° to 90°, most intense first:
| 2θ/deg | I (rel.) |
| --- | --- |
| 40.6 | 100 |
| 38.4 | 41 |
| 39.0 | 33 |
| 36.1 | 24 |
| 37.5 | 18 |
| 39.9 | 17 |
| 43.2 | 17 |
| 10.8 | 16 |
| 50.2 | 16 |
| 53.0 | 14 |

```
data_ZrGa3Rh
_space_group_name_H-M_alt 'P 1 21/c 1'
_space_group_IT_number 14
_space_group_name_Hall '-P 2ybc'
_cell_length_a 8.267
_cell_length_b 5.515
_cell_length_c 7.327
_cell_angle_alpha 90.00
_cell_angle_beta 96.10
_cell_angle_gamma 90.00
loop_
_atom_site_label
_atom_site_type_symbol
_atom_site_fract_x
_atom_site_fract_y
_atom_site_fract_z
_atom_site_occupancy
Zr1 Zr 0.119 0.123 0.190 1
Ga1 Ga 0.121 0.624 0.056 1
Ga2 Ga 0.277 0.607 0.365 1
Ga3 Ga 0.381 0.164 0.499 1
Rh1 Rh 0.446 0.556 0.697 1
```